1.
This entry pairs a crystal structure of LaNd with its computed XRD peak list. Radiation: Cu Kα. Structure: the PBE geometry in OQMD.
Kinematic intensities with the Lorentz-polarization factor, no thermal factor.

Atomic structure:
```
data_LaNd
_space_group_name_H-M_alt 'P 1'
_space_group_IT_number 1
_space_group_name_Hall 'P 1'
_cell_length_a 3.7346
_cell_length_b 3.7346
_cell_length_c 6.0650
_cell_angle_alpha 90.00
_cell_angle_beta 90.00
_cell_angle_gamma 120.00
loop_
_atom_site_label
_atom_site_type_symbol
_atom_site_fract_x
_atom_site_fract_y
_atom_site_fract_z
La1 La 0.0000 0.0000 0.0000
Nd1 Nd 0.6667 0.3333 0.5000
```

Peak list (12 most intense, 2θ from 10° to 90°, low angle first)
2theta	Rel. int.
27.58	23.3
29.45	26.1
31.34	100.0
40.79	16.3
48.77	19.4
53.45	22.2
58.00	23.1
59.12	16.3
75.25	8.0
80.08	13.6
81.83	8.6
85.50	5.8

2.
This entry pairs a crystal structure of La2NdNi3Pt6 with its computed XRD peak list. Radiation: Cu Kα. Structure: the PBE geometry in OQMD.
Kinematic intensities with the Lorentz-polarization factor, no thermal factor.

Atomic structure:
```
data_La2NdNi3Pt6
_space_group_name_H-M_alt 'P 1'
_space_group_IT_number 1
_space_group_name_Hall 'P 1'
_cell_length_a 9.0419
_cell_length_b 9.0419
_cell_length_c 9.0419
_cell_angle_alpha 35.08
_cell_angle_beta 35.08
_cell_angle_gamma 35.08
loop_
_atom_site_label
_atom_site_type_symbol
_atom_site_fract_x
_atom_site_fract_y
_atom_site_fract_z
La1 La 0.1403 0.1403 0.1403
La2 La 0.8597 0.8597 0.8597
Nd1 Nd 0.0000 0.0000 0.0000
Ni1 Ni 0.3327 0.3327 0.3327
Ni2 Ni 0.5000 0.5000 0.5000
Ni3 Ni 0.6673 0.6673 0.6673
Pt1 Pt 0.0816 0.5815 0.5815
Pt2 Pt 0.4185 0.4185 0.9184
Pt3 Pt 0.4185 0.9184 0.4185
Pt4 Pt 0.5815 0.0816 0.5815
Pt5 Pt 0.5815 0.5815 0.0816
Pt6 Pt 0.9184 0.4185 0.4185
```

Peak list (12 most intense, 2θ from 10° to 90°, low angle first)
2theta	Rel. int.
20.96	45.5
31.07	49.6
34.00	30.4
38.31	100.0
38.82	32.3
39.31	99.6
42.22	57.3
42.66	32.6
61.58	28.0
63.03	24.5
68.93	39.1
84.56	27.8

3.
This entry pairs a crystal structure of La2NdNi6Pt3 with its computed XRD peak list. Radiation: Cu Kα. Structure: the PBE geometry in OQMD.
Kinematic intensities with the Lorentz-polarization factor, no thermal factor.

Atomic structure:
```
data_La2NdNi6Pt3
_space_group_name_H-M_alt 'P 1'
_space_group_IT_number 1
_space_group_name_Hall 'P 1'
_cell_length_a 9.1236
_cell_length_b 9.1236
_cell_length_c 9.1236
_cell_angle_alpha 32.95
_cell_angle_beta 32.95
_cell_angle_gamma 32.95
loop_
_atom_site_label
_atom_site_type_symbol
_atom_site_fract_x
_atom_site_fract_y
_atom_site_fract_z
La1 La 0.1372 0.1372 0.1372
La2 La 0.8628 0.8628 0.8628
Nd1 Nd 0.0000 0.0000 0.0000
Ni1 Ni 0.0802 0.5833 0.5833
Ni2 Ni 0.4167 0.4167 0.9198
Ni3 Ni 0.4167 0.9198 0.4167
Ni4 Ni 0.5833 0.0802 0.5833
Ni5 Ni 0.5833 0.5833 0.0802
Ni6 Ni 0.9198 0.4167 0.4167
Pt1 Pt 0.3324 0.3324 0.3324
Pt2 Pt 0.5000 0.5000 0.5000
Pt3 Pt 0.6676 0.6676 0.6676
```

Peak list (12 most intense, 2θ from 10° to 90°, low angle first)
2theta	Rel. int.
20.61	19.5
26.31	9.9
34.20	15.6
34.67	61.0
40.67	100.0
41.92	14.4
43.47	17.9
44.04	19.9
62.14	11.6
66.21	23.6
73.16	17.4
88.06	10.1

4.
This entry pairs a crystal structure of LaNdNi2Sn4 with its computed XRD peak list. Radiation: Cu Kα. Structure: the PBE geometry in OQMD.
Kinematic intensities with the Lorentz-polarization factor, no thermal factor.

Atomic structure:
```
data_LaNdNi2Sn4
_space_group_name_H-M_alt 'P 1'
_space_group_IT_number 1
_space_group_name_Hall 'P 1'
_cell_length_a 4.5634
_cell_length_b 9.4041
_cell_length_c 9.4041
_cell_angle_alpha 27.58
_cell_angle_beta 90.00
_cell_angle_gamma 90.00
loop_
_atom_site_label
_atom_site_type_symbol
_atom_site_fract_x
_atom_site_fract_y
_atom_site_fract_z
La1 La 0.0000 0.0000 0.0000
Nd1 Nd 0.5000 0.2177 0.2177
Ni1 Ni 0.0000 0.7908 0.7908
Ni2 Ni 0.5000 0.4266 0.4266
Sn1 Sn 0.0000 0.3597 0.3597
Sn2 Sn 0.0000 0.6559 0.6559
Sn3 Sn 0.5000 0.5625 0.5625
Sn4 Sn 0.5000 0.8572 0.8572
```

Peak list (12 most intense, 2θ from 10° to 90°, low angle first)
2theta	Rel. int.
31.60	100.0
35.45	20.8
39.49	22.8
40.23	21.1
44.83	7.7
49.29	9.1
51.43	8.7
54.68	12.0
57.65	15.2
64.91	8.3
66.73	10.1
67.75	11.5

Which formula does entry 2 have?
La2NdNi3Pt6